Diffraction record for LaNbMo. The powder diffractogram is simulated, not measured: it uses DFT lattice parameters and positions (PBE) and a wavelength of 1.5418 Å.

Structure:
Unit cell a=3.2909 b=3.2909 c=12.2899 alpha=90.00 beta=90.00 gamma=90.00
Atoms (fractional coordinates):
La1 0.0000 0.0000 0.0000
La2 0.5000 0.5000 0.2606
Nb1 0.0000 0.0000 0.6859
Nb2 0.5000 0.5000 0.8163
Mo1 0.0000 0.0000 0.4347
Mo2 0.5000 0.5000 0.5507

Top 12 peaks for 2θ from 10° to 80°, low angle first:
2θ = 29.06°, I = 16
2θ = 30.82°, I = 49
2θ = 34.97°, I = 100
2θ = 38.69°, I = 85
2θ = 40.15°, I = 61
2θ = 49.11°, I = 15
2θ = 55.88°, I = 28
2θ = 65.18°, I = 11
2θ = 66.74°, I = 20
2θ = 67.64°, I = 28
2θ = 71.01°, I = 22
2θ = 79.90°, I = 12